1.
Starting from a PBE-relaxed structure, the powder diffractogram of Rb2TlCuBr6 was simulated for Cu Kα (weighted mean of Kα1 and Kα2).
Kinematic intensities with the Lorentz-polarization factor, no thermal factor.

Crystal structure
a b c (Å): 7.753 7.753 7.753
angles (deg): 119.98 119.98 60.02
Sites, in units of the cell vectors:
1 Rb 0.250 0.250 0.250
2 Rb 0.750 0.750 0.750
3 Tl 0.000 0.000 0.500
4 Cu 0.500 0.500 0.000
5 Br 0.262 0.736 0.237
6 Br 0.263 0.263 0.762
7 Br 0.264 0.738 0.763
8 Br 0.736 0.262 0.237
9 Br 0.737 0.737 0.238
10 Br 0.738 0.264 0.763

Peak list (8 most intense, 10° ≤ 2θ ≤ 90°, by angle)
16.17°, intensity 44.0; 22.94°, intensity 44.7; 28.19°, intensity 35.7; 32.66°, intensity 100.0; 46.87°, intensity 70.3; 58.30°, intensity 23.8; 77.92°, intensity 29.6; 87.07°, intensity 22.5

***

2.
Starting from a PBE-relaxed structure, the powder diffractogram of Ho3Al2GaSn2Pt was simulated for Cu Kα (weighted mean of Kα1 and Kα2).
Kinematic intensities with the Lorentz-polarization factor, no thermal factor.

Crystal structure
a b c (Å): 4.336 7.221 7.221
angles (deg): 118.96 90.00 90.00
Sites, in units of the cell vectors:
1 Ho 0.000 0.000 0.000
2 Ho 0.000 0.201 0.593
3 Ho 0.000 0.593 0.201
4 Al 0.500 0.601 0.823
5 Al 0.500 0.823 0.601
6 Ga 0.500 0.375 0.375
7 Sn 0.500 0.265 0.926
8 Sn 0.500 0.926 0.265
9 Pt 0.000 0.613 0.613

Peak list (8 most intense, 10° ≤ 2θ ≤ 90°, by angle)
24.66°, intensity 36.0; 32.27°, intensity 87.0; 35.15°, intensity 100.0; 35.52°, intensity 29.7; 41.66°, intensity 41.3; 42.94°, intensity 31.4; 43.68°, intensity 35.3; 69.10°, intensity 26.3

***

3.
Starting from a PBE-relaxed structure, the powder diffractogram of FeSi25Ge6 was simulated for Cu Kα (weighted mean of Kα1 and Kα2).
Kinematic intensities with the Lorentz-polarization factor, no thermal factor.

Crystal structure
a b c (Å): 6.728 6.728 15.551
angles (deg): 89.99 89.95 70.49
Sites, in units of the cell vectors:
1 Fe 0.000 0.000 0.000
2 Si 0.000 0.001 0.747
3 Si 0.000 0.508 0.125
4 Si 0.002 0.501 0.872
5 Si 0.354 0.893 0.998
6 Si 0.371 0.378 0.125
7 Si 0.371 0.378 0.870
8 Si 0.371 0.379 0.369
9 Si 0.371 0.379 0.623
10 Si 0.372 0.879 0.246
11 Si 0.372 0.879 0.747
12 Si 0.377 0.885 0.497
13 Si 0.489 0.007 0.873
14 Si 0.491 0.507 0.747
15 Si 0.497 0.005 0.370
16 Si 0.497 0.005 0.623
17 Si 0.498 0.006 0.122
18 Si 0.498 0.505 0.247
19 Si 0.871 0.380 0.247
20 Si 0.871 0.879 0.368
21 Si 0.871 0.879 0.623
22 Si 0.876 0.385 0.496
23 Si 0.876 0.883 0.118
24 Si 0.998 0.006 0.245
25 Si 0.998 0.506 0.370
26 Si 0.999 0.507 0.620
27 Ge 0.490 0.508 0.997
28 Ge 0.498 0.505 0.496
29 Ge 0.871 0.380 0.746
30 Ge 0.875 0.883 0.878
31 Ge 0.885 0.362 0.999
32 Ge 0.998 0.006 0.496

Peak list (8 most intense, 10° ≤ 2θ ≤ 90°, by angle)
11.38°, intensity 7.2; 28.13°, intensity 100.0; 46.76°, intensity 68.8; 55.46°, intensity 40.7; 68.28°, intensity 10.8; 75.39°, intensity 12.2; 86.80°, intensity 11.5; 86.88°, intensity 11.4

***

4.
Starting from a PBE-relaxed structure, the powder diffractogram of Nb4As5Ir5 was simulated for Cu Kα (weighted mean of Kα1 and Kα2).
Kinematic intensities with the Lorentz-polarization factor, no thermal factor.

Crystal structure
a b c (Å): 7.336 7.336 7.336
angles (deg): 99.80 99.80 131.27
Sites, in units of the cell vectors:
1 Nb 0.052 0.153 0.703
2 Nb 0.451 0.349 0.297
3 Nb 0.651 0.948 0.101
4 Nb 0.847 0.549 0.899
5 As 0.154 0.462 0.122
6 As 0.340 0.033 0.878
7 As 0.538 0.660 0.693
8 As 0.750 0.250 0.500
9 As 0.967 0.846 0.307
10 Ir 0.000 0.000 0.000
11 Ir 0.196 0.592 0.819
12 Ir 0.408 0.227 0.605
13 Ir 0.622 0.804 0.395
14 Ir 0.773 0.378 0.181

Peak list (8 most intense, 10° ≤ 2θ ≤ 90°, by angle)
25.71°, intensity 100.0; 42.51°, intensity 86.4; 42.79°, intensity 41.4; 50.10°, intensity 16.9; 50.59°, intensity 30.7; 62.12°, intensity 13.1; 77.60°, intensity 14.7; 78.18°, intensity 25.7

***

5.
Starting from a PBE-relaxed structure, the powder diffractogram of KGaMo was simulated for Cu Kα (weighted mean of Kα1 and Kα2).
Kinematic intensities with the Lorentz-polarization factor, no thermal factor.

Crystal structure
a b c (Å): 6.736 6.736 6.736
angles (deg): 90.00 90.00 90.00
Sites, in units of the cell vectors:
1 K 0.000 0.000 0.000
2 K 0.000 0.500 0.500
3 K 0.500 0.000 0.500
4 K 0.500 0.500 0.000
5 Ga 0.000 0.000 0.500
6 Ga 0.000 0.500 0.000
7 Ga 0.500 0.000 0.000
8 Ga 0.500 0.500 0.500
9 Mo 0.250 0.250 0.750
10 Mo 0.250 0.750 0.250
11 Mo 0.750 0.250 0.250
12 Mo 0.750 0.750 0.750

Peak list (8 most intense, 10° ≤ 2θ ≤ 90°, by angle)
22.87°, intensity 59.2; 37.78°, intensity 100.0; 44.62°, intensity 29.5; 54.49°, intensity 16.4; 59.85°, intensity 12.1; 68.21°, intensity 32.4; 80.70°, intensity 10.1; 85.23°, intensity 9.2

***

6.
Starting from a PBE-relaxed structure, the powder diffractogram of Er2Ge2O5 was simulated for Cu Kα (weighted mean of Kα1 and Kα2).
Kinematic intensities with the Lorentz-polarization factor, no thermal factor.

Crystal structure
a b c (Å): 4.050 4.050 6.533
angles (deg): 90.00 90.00 90.00
Sites, in units of the cell vectors:
1 Er 0.000 0.000 0.000
2 Er 0.000 0.000 0.500
3 Ge 0.500 0.500 0.212
4 Ge 0.500 0.500 0.788
5 O 0.000 0.500 0.232
6 O 0.000 0.500 0.768
7 O 0.500 0.000 0.232
8 O 0.500 0.000 0.768
9 O 0.500 0.500 0.500

Peak list (8 most intense, 10° ≤ 2θ ≤ 90°, by angle)
21.95°, intensity 21.2; 31.23°, intensity 63.7; 35.30°, intensity 100.0; 41.96°, intensity 23.2; 44.75°, intensity 39.9; 58.25°, intensity 47.8; 65.15°, intensity 12.4; 74.66°, intensity 12.6

***

7.
Starting from a PBE-relaxed structure, the powder diffractogram of GaAgTeSe was simulated for Cu Kα (weighted mean of Kα1 and Kα2).
Kinematic intensities with the Lorentz-polarization factor, no thermal factor.

Crystal structure
a b c (Å): 6.194 6.327 11.638
angles (deg): 90.00 90.00 90.00
Sites, in units of the cell vectors:
1 Ga 0.000 0.250 0.117
2 Ga 0.000 0.750 0.383
3 Ga 0.500 0.250 0.883
4 Ga 0.500 0.750 0.617
5 Ag 0.000 0.250 0.614
6 Ag 0.000 0.750 0.886
7 Ag 0.500 0.250 0.386
8 Ag 0.500 0.750 0.114
9 Te 0.235 0.000 0.250
10 Te 0.265 0.000 0.750
11 Te 0.735 0.500 0.750
12 Te 0.765 0.500 0.250
13 Se 0.250 0.467 0.000
14 Se 0.250 0.533 0.500
15 Se 0.750 0.033 0.000
16 Se 0.750 0.967 0.500

Peak list (8 most intense, 10° ≤ 2θ ≤ 90°, by angle)
25.28°, intensity 100.0; 40.77°, intensity 26.8; 42.20°, intensity 23.9; 42.64°, intensity 23.8; 48.19°, intensity 15.7; 48.97°, intensity 15.7; 51.43°, intensity 13.1; 75.81°, intensity 7.8

***

8.
Starting from a PBE-relaxed structure, the powder diffractogram of Zr5InPb3 was simulated for Cu Kα (weighted mean of Kα1 and Kα2).
Kinematic intensities with the Lorentz-polarization factor, no thermal factor.

Crystal structure
a b c (Å): 8.917 8.917 6.020
angles (deg): 90.00 90.00 120.00
Sites, in units of the cell vectors:
1 Zr 0.000 0.280 0.250
2 Zr 0.000 0.720 0.750
3 Zr 0.280 0.000 0.250
4 Zr 0.280 0.280 0.750
5 Zr 0.333 0.667 0.000
6 Zr 0.333 0.667 0.500
7 Zr 0.667 0.333 0.000
8 Zr 0.667 0.333 0.500
9 Zr 0.720 0.000 0.750
10 Zr 0.720 0.720 0.250
11 In 0.000 0.000 0.000
12 In 0.000 0.000 0.500
13 Pb 0.000 0.383 0.750
14 Pb 0.000 0.617 0.250
15 Pb 0.383 0.000 0.750
16 Pb 0.383 0.383 0.250
17 Pb 0.617 0.000 0.250
18 Pb 0.617 0.617 0.750

Peak list (8 most intense, 10° ≤ 2θ ≤ 90°, by angle)
24.85°, intensity 33.4; 34.14°, intensity 61.8; 34.85°, intensity 97.4; 36.00°, intensity 100.0; 44.92°, intensity 33.3; 50.98°, intensity 23.7; 65.85°, intensity 21.4; 72.79°, intensity 22.7